Diffraction record for Cu8Mo. The PXRD pattern is theoretical, not measured: it uses a cell relaxed with PBE and copper Kα.
Lines closer than 0.1° are merged.

Cell: 6.596 6.596 6.596 Å, 92.41 92.41 156.35°
Fractional positions:
Cu 0.000 0.333 0.333
Cu 0.000 0.667 0.667
Cu 0.328 0.328 0.656
Cu 0.328 0.672 0.000
Cu 0.333 0.000 0.333
Cu 0.667 0.000 0.667
Cu 0.672 0.328 0.000
Cu 0.672 0.672 0.344
Mo 0.000 0.000 0.000

Top 6 peaks for 2θ from 15° to 90°, by angle:
41.99 deg, rel. 60.8
44.85 deg, rel. 100.0
60.88 deg, rel. 18.6
69.57 deg, rel. 6.1
78.72 deg, rel. 33.2
84.70 deg, rel. 13.9